The following is a computed PXRD pattern of SrLi3Al3. It was derived from DFT lattice parameters and positions (GGA-PBE), using Cu Kα (weighted mean of Kα1 and Kα2).
No peak broadening, texture or thermal motion is included.

Atomic structure:
Cell lengths 8.7193, 8.7193, 8.7193 Å; angles 60.00, 60.00, 60.00 degrees
Positions (direct):
Sr  0.2500  0.2500  0.2500
Sr  0.7500  0.7500  0.7500
Li  0.1487  0.1487  0.8513
Li  0.1487  0.8513  0.1487
Li  0.1487  0.8513  0.8513
Li  0.8513  0.1487  0.1487
Li  0.8513  0.1487  0.8513
Li  0.8513  0.8513  0.1487
Al  0.3475  0.3475  0.6525
Al  0.3475  0.6525  0.3475
Al  0.3475  0.6525  0.6525
Al  0.6525  0.3475  0.3475
Al  0.6525  0.3475  0.6525
Al  0.6525  0.6525  0.3475

The 8 most intense peaks (2θ from 5° to 70°), low angle first:
2θ (°)	d (Å)	I_rel
12.43	7.119	33
20.37	4.360	100
25.02	3.560	60
28.96	3.083	35
32.47	2.757	53
44.06	2.055	58
46.58	1.950	42
69.92	1.345	18

=====

The following is a computed PXRD pattern of Sm4ErGe4. It was derived from DFT lattice parameters and positions (GGA-PBE), using Cu Kα (weighted mean of Kα1 and Kα2).
No peak broadening, texture or thermal motion is included.

Atomic structure:
Cell lengths 9.0424, 9.0424, 6.0120 Å; angles 90.00, 90.00, 90.00 degrees
Positions (direct):
Sm  0.0552  0.6690  0.1228
Sm  0.1690  0.9448  0.6228
Sm  0.3310  0.5552  0.6228
Sm  0.4448  0.8310  0.1228
Sm  0.5552  0.1690  0.8772
Sm  0.6690  0.4448  0.3772
Sm  0.8310  0.0552  0.3772
Sm  0.9448  0.3310  0.8772
Er  0.2500  0.2500  0.2500
Er  0.7500  0.7500  0.7500
Ge  0.0156  0.6282  0.6146
Ge  0.1282  0.9844  0.1146
Ge  0.3718  0.5156  0.1146
Ge  0.4844  0.8718  0.6146
Ge  0.5156  0.1282  0.3854
Ge  0.6282  0.4844  0.8854
Ge  0.8718  0.0156  0.8854
Ge  0.9844  0.3718  0.3854

The 8 most intense peaks (2θ from 5° to 70°), low angle first:
2θ (°)	d (Å)	I_rel
26.56	3.355	36
31.31	2.857	100
37.27	2.412	24
42.47	2.129	9
44.83	2.022	22
47.20	1.926	20
51.59	1.772	14
52.87	1.732	11

=====

The following is a computed PXRD pattern of NaPb. It was derived from DFT lattice parameters and positions (GGA-PBE), using Cu Kα (weighted mean of Kα1 and Kα2).
No peak broadening, texture or thermal motion is included.

Atomic structure:
Cell lengths 11.7060, 11.7060, 11.7060 Å; angles 126.20, 126.20, 79.57 degrees
Positions (direct):
Na  0.0000  0.5000  0.2500
Na  0.0000  0.5000  0.7500
Na  0.1334  0.2500  0.3834
Na  0.2500  0.0000  0.0000
Na  0.2500  0.2500  0.7500
Na  0.2500  0.3666  0.1166
Na  0.2500  0.8666  0.6166
Na  0.3666  0.7500  0.1166
Na  0.5000  0.2500  0.5000
Na  0.5000  0.7500  0.5000
Na  0.6334  0.2500  0.8834
Na  0.7500  0.0000  0.0000
Na  0.7500  0.1334  0.3834
Na  0.7500  0.6334  0.8834
Na  0.7500  0.7500  0.2500
Na  0.8666  0.7500  0.6166
Pb  0.0095  0.0562  0.6879
Pb  0.0562  0.8683  0.0466
Pb  0.1317  0.6783  0.1879
Pb  0.1783  0.6317  0.6879
Pb  0.3217  0.0095  0.4534
Pb  0.3683  0.5562  0.5466
Pb  0.4438  0.4905  0.8121
Pb  0.4905  0.1783  0.0466
Pb  0.5095  0.8217  0.9534
Pb  0.5562  0.5095  0.1879
Pb  0.6317  0.4438  0.4534
Pb  0.6783  0.9905  0.5466
Pb  0.8217  0.3683  0.3121
Pb  0.8683  0.3217  0.8121
Pb  0.9438  0.1317  0.9534
Pb  0.9905  0.9438  0.3121

The 8 most intense peaks (2θ from 5° to 70°), low angle first:
2θ (°)	d (Å)	I_rel
15.39	5.756	100
19.43	4.568	27
23.94	3.717	40
30.84	2.900	46
31.21	2.865	41
32.15	2.784	27
33.35	2.687	41
33.98	2.638	34

=====

The following is a computed PXRD pattern of Sm4Y8Sc. It was derived from DFT lattice parameters and positions (GGA-PBE), using Cu Kα (weighted mean of Kα1 and Kα2).
No peak broadening, texture or thermal motion is included.

Atomic structure:
Cell lengths 7.7582, 7.7582, 7.7582 Å; angles 90.07, 90.07, 90.07 degrees
Positions (direct):
Sm  0.0000  0.0000  0.0000
Sm  0.0000  0.5000  0.5000
Sm  0.5000  0.0000  0.5000
Sm  0.5000  0.5000  0.0000
Y  0.2427  0.2427  0.2427
Y  0.2427  0.2427  0.7564
Y  0.2427  0.7564  0.2427
Y  0.2436  0.7573  0.7573
Y  0.7564  0.2427  0.2427
Y  0.7573  0.2436  0.7573
Y  0.7573  0.7573  0.2436
Y  0.7573  0.7573  0.7573
Sc  0.5000  0.5000  0.5000

The 8 most intense peaks (2θ from 5° to 70°), low angle first:
2θ (°)	d (Å)	I_rel
19.82	4.479	38
32.65	2.743	100
38.48	2.339	21
46.84	1.940	18
51.33	1.780	9
58.26	1.584	36
62.17	1.493	7
68.40	1.371	11

=====

The following is a computed PXRD pattern of CaMnTe2. It was derived from DFT lattice parameters and positions (GGA-PBE), using Cu Kα (weighted mean of Kα1 and Kα2).
No peak broadening, texture or thermal motion is included.

Atomic structure:
Cell lengths 4.2894, 4.2894, 7.1692 Å; angles 90.00, 90.00, 120.00 degrees
Positions (direct):
Ca  0.0000  0.0000  0.0000
Mn  0.0000  0.0000  0.5000
Te  0.3333  0.6667  0.2778
Te  0.6667  0.3333  0.7222

The 8 most intense peaks (2θ from 5° to 70°), low angle first:
2θ (°)	d (Å)	I_rel
27.03	3.298	100
34.78	2.579	59
42.13	2.145	40
45.11	2.010	22
50.78	1.798	17
55.74	1.649	14
68.04	1.378	14
68.19	1.375	12